Theoretical powder diffractogram of TePdPb4 for copper Kα, from a DFT-relaxed cell (GGA-PBE, Alexandria).
Peak positions follow from Bragg's law for the DFT cell and can differ from measured ones.

Atomic structure:
```
TePdPb4
1.0
8.224 -3.106 0.000
8.224 3.106 0.000
-2.789 0.000 7.045
Te Pd Pb
2 2 8
Cartesian
6.132 2.350 5.284
7.527 -2.350 1.761
4.112 1.553 0.000
2.717 -1.553 3.523
1.497 0.892 4.322
6.826 0.951 0.271
2.892 -0.892 0.800
8.227 0.951 3.251
5.431 -0.951 3.794
10.767 0.892 6.245
6.833 -0.951 6.774
12.162 -0.892 2.723
```

Top 6 peaks for 10° ≤ 2θ ≤ 90°, in order of falling intensity:
2θ (°)  intensity
31.9  1000
28.9  595
27.4  491
39.4  433
31.6  403
32.6  335